Record 1
This entry pairs a crystal structure of AcTbBeN3 with its simulated powder diffractogram. Radiation: copper Kα. Structure: a structure optimized by DFT (PBE).
Kinematic intensities with the Lorentz-polarization factor, no thermal factor.

Structural model:
```
data_AcTbBeN3
_cell_length_a 7.194
_cell_length_b 3.462
_cell_length_c 7.446
_cell_angle_alpha 90.00
_cell_angle_beta 102.13
_cell_angle_gamma 90.00
_space_group_name_H-M_alt 'P 1'
_space_group_IT_number 1
_space_group_name_Hall 'P 1'
loop_
_atom_site_label
_atom_site_type_symbol
_atom_site_fract_x
_atom_site_fract_y
_atom_site_fract_z
Ac1 Ac 0.224 0.250 0.181
Ac2 Ac 0.776 0.750 0.819
Tb1 Tb 0.177 0.250 0.654
Tb2 Tb 0.823 0.750 0.346
Be1 Be 0.396 0.750 0.926
Be2 Be 0.604 0.250 0.074
N1 N 0.154 0.750 0.882
N2 N 0.161 0.750 0.422
N3 N 0.480 0.250 0.854
N4 N 0.520 0.750 0.146
N5 N 0.839 0.250 0.578
N6 N 0.846 0.250 0.118
```

Main lines, sorted by position (2θ from 5° to 70°):
- 12.58 deg, intensity 31.3
- 24.45 deg, intensity 24.0
- 25.07 deg, intensity 32.8
- 25.32 deg, intensity 56.0
- 28.74 deg, intensity 100.0
- 29.92 deg, intensity 40.2
- 31.44 deg, intensity 36.6
- 35.80 deg, intensity 56.2
- 36.24 deg, intensity 49.5
- 47.47 deg, intensity 30.3
- 49.20 deg, intensity 28.1
- 52.88 deg, intensity 24.3

***

Record 2
This entry pairs a crystal structure of AcTl3O6 with its simulated powder diffractogram. Radiation: copper Kα. Structure: a structure optimized by DFT (PBE).
Kinematic intensities with the Lorentz-polarization factor, no thermal factor.

Structural model:
```
data_AcTl3O6
_cell_length_a 9.526
_cell_length_b 3.575
_cell_length_c 9.560
_cell_angle_alpha 90.00
_cell_angle_beta 109.25
_cell_angle_gamma 90.00
_space_group_name_H-M_alt 'P 1'
_space_group_IT_number 1
_space_group_name_Hall 'P 1'
loop_
_atom_site_label
_atom_site_type_symbol
_atom_site_fract_x
_atom_site_fract_y
_atom_site_fract_z
Ac1 Ac 0.065 0.250 0.200
Ac2 Ac 0.935 0.750 0.800
Tl1 Tl 0.168 0.250 0.595
Tl2 Tl 0.322 0.750 0.992
Tl3 Tl 0.457 0.250 0.331
Tl4 Tl 0.543 0.750 0.669
Tl5 Tl 0.678 0.250 0.008
Tl6 Tl 0.832 0.750 0.405
O1 O 0.079 0.750 0.414
O2 O 0.103 0.250 0.950
O3 O 0.199 0.750 0.749
O4 O 0.283 0.750 0.228
O5 O 0.394 0.250 0.554
O6 O 0.463 0.250 0.099
O7 O 0.537 0.750 0.901
O8 O 0.606 0.750 0.446
O9 O 0.717 0.250 0.772
O10 O 0.801 0.250 0.251
O11 O 0.897 0.750 0.050
O12 O 0.921 0.250 0.586
```

Main lines, sorted by position (2θ from 5° to 70°):
- 26.83 deg, intensity 34.4
- 28.00 deg, intensity 75.4
- 28.10 deg, intensity 100.0
- 29.76 deg, intensity 61.7
- 31.44 deg, intensity 79.3
- 31.97 deg, intensity 42.3
- 32.41 deg, intensity 50.1
- 35.48 deg, intensity 54.3
- 39.19 deg, intensity 43.9
- 48.96 deg, intensity 48.0
- 51.67 deg, intensity 28.7
- 59.31 deg, intensity 45.3

***

Record 3
This entry pairs a crystal structure of Ho4ErTh2 with its simulated powder diffractogram. Radiation: copper Kα. Structure: a structure optimized by DFT (PBE).
Kinematic intensities with the Lorentz-polarization factor, no thermal factor.

Structural model:
```
data_Ho4ErTh2
_cell_length_a 3.461
_cell_length_b 8.469
_cell_length_c 8.692
_cell_angle_alpha 117.51
_cell_angle_beta 90.23
_cell_angle_gamma 98.44
_space_group_name_H-M_alt 'P 1'
_space_group_IT_number 1
_space_group_name_Hall 'P 1'
loop_
_atom_site_label
_atom_site_type_symbol
_atom_site_fract_x
_atom_site_fract_y
_atom_site_fract_z
Ho1 Ho 0.047 0.054 0.217
Ho2 Ho 0.361 0.648 0.921
Ho3 Ho 0.639 0.352 0.079
Ho4 Ho 0.953 0.946 0.783
Er1 Er 0.000 0.500 0.500
Th1 Th 0.412 0.781 0.368
Th2 Th 0.588 0.219 0.632
```

Main lines, sorted by position (2θ from 5° to 70°):
- 27.88 deg, intensity 13.1
- 29.86 deg, intensity 38.3
- 30.65 deg, intensity 18.5
- 30.83 deg, intensity 70.7
- 31.87 deg, intensity 62.0
- 32.53 deg, intensity 100.0
- 33.31 deg, intensity 40.8
- 42.36 deg, intensity 14.2
- 44.52 deg, intensity 13.9
- 49.83 deg, intensity 15.7
- 55.08 deg, intensity 16.1
- 56.32 deg, intensity 16.5

***

Record 4
This entry pairs a crystal structure of YHg2Mo with its simulated powder diffractogram. Radiation: copper Kα. Structure: a structure optimized by DFT (PBE).
Kinematic intensities with the Lorentz-polarization factor, no thermal factor.

Structural model:
```
data_YHg2Mo
_cell_length_a 5.372
_cell_length_b 5.372
_cell_length_c 5.372
_cell_angle_alpha 131.43
_cell_angle_beta 131.43
_cell_angle_gamma 71.13
_space_group_name_H-M_alt 'P 1'
_space_group_IT_number 1
_space_group_name_Hall 'P 1'
loop_
_atom_site_label
_atom_site_type_symbol
_atom_site_fract_x
_atom_site_fract_y
_atom_site_fract_z
Y1 Y 0.000 0.000 0.000
Hg1 Hg 0.250 0.750 0.500
Hg2 Hg 0.750 0.250 0.500
Mo1 Mo 0.500 0.500 0.000
```

Main lines, sorted by position (2θ from 5° to 70°):
- 20.32 deg, intensity 11.8
- 28.57 deg, intensity 10.9
- 35.31 deg, intensity 100.0
- 40.84 deg, intensity 33.5
- 41.32 deg, intensity 16.2
- 46.03 deg, intensity 6.5
- 51.00 deg, intensity 4.9
- 59.13 deg, intensity 11.3
- 59.50 deg, intensity 22.1
- 63.20 deg, intensity 2.7
- 63.91 deg, intensity 0.6
- 66.96 deg, intensity 2.3